1.
Calculated X-ray powder pattern of MnV2H4 for a wavelength of 1.5418 Å, from DFT lattice parameters and positions (PBE).
Neutral-atom scattering factors, no anomalous dispersion.

Cell lengths 7.542, 7.569, 5.338 Å; angles 90.00, 134.88, 90.00 degrees
Space group C2/c (No. 15)
Unique sites:
Mn 0.000 0.124 0.250 x4
V 0.000 0.500 0.000 x4
V 0.250 0.250 0.000 x4
H 0.001 0.260 0.520 x8
H 0.230 0.490 0.980 x8

Principal peaks in the range 2θ from 10° to 90°, most intense first:
2theta  I_rel
39.53  100
41.38  39
33.53  38
63.94  21
39.62  20
70.42  14
70.53  14
85.06  9
64.08  8
59.92  8

=====

2.
Calculated X-ray powder pattern of KYSn for a wavelength of 1.5418 Å, from DFT lattice parameters and positions (PBE).
Neutral-atom scattering factors, no anomalous dispersion.

Cell lengths 9.241, 5.251, 8.830 Å; angles 90.00, 90.00, 90.00 degrees
Space group Pnma (No. 62)
Unique sites:
K 0.010 0.250 0.155 x4
Y 0.141 0.250 0.576 x4
Sn 0.192 0.750 0.386 x4

Principal peaks in the range 2θ from 10° to 90°, most intense first:
2theta  I_rel
28.12  100
30.74  74
27.63  66
34.15  58
34.95  57
13.87  57
19.67  54
46.60  46
39.59  45
40.18  25

=====

3.
Calculated X-ray powder pattern of HoCrN for a wavelength of 1.5418 Å, from DFT lattice parameters and positions (PBE).
Neutral-atom scattering factors, no anomalous dispersion.

Cell lengths 10.497, 3.173, 5.494 Å; angles 90.00, 90.00, 90.00 degrees
Space group Amm2 (No. 38)
Unique sites:
Ho 0.144 0.000 0.000 x4
Cr 0.386 0.000 0.665 x4
N 0.000 0.000 0.667 x2
N 0.500 0.000 0.999 x2

Principal peaks in the range 2θ from 10° to 90°, most intense first:
2theta  I_rel
41.80  100
33.72  78
32.59  72
47.94  34
34.17  32
58.15  31
25.46  28
69.20  24
71.70  18
74.15  18

=====

4.
Calculated X-ray powder pattern of K2SIO6 for a wavelength of 1.5418 Å, from DFT lattice parameters and positions (PBE).
Neutral-atom scattering factors, no anomalous dispersion.

Cell lengths 4.934, 5.242, 6.493 Å; angles 113.64, 105.15, 90.05 degrees
Space group P-1 (No. 2)
Unique sites:
K 0.228 0.240 0.479 x2
S 0.000 0.500 0.000 x1
I 0.500 0.000 0.000 x1
O 0.159 0.201 0.867 x2
O 0.161 0.666 0.867 x2
O 0.248 0.618 0.237 x2

Principal peaks in the range 2θ from 10° to 90°, most intense first:
2theta  I_rel
30.79  100
28.14  91
15.55  64
51.09  28
31.39  27
24.90  26
34.21  23
44.60  21
52.27  19
18.63  18